# 1
Starting from a crystal structure in OQMD, relaxed with GGA-PBE, the X-ray powder pattern of Gd2Au2O5 was calculated for a wavelength of 1.5418 Å.

Principal peaks in the range 10° ≤ 2θ ≤ 90°, low angle first:
| d_spacing | Rel. int. |
| --- | --- |
| 2.975 | 100.0 |
| 2.800 | 38.5 |
| 2.255 | 10.9 |
| 1.980 | 20.5 |
| 1.756 | 27.3 |
| 1.648 | 36.1 |
| 1.488 | 12.1 |
| 1.405 | 10.6 |
| 1.146 | 11.4 |
| 1.095 | 12.1 |

Atomic structure:
```
data_Gd2Au2O5
_space_group_name_H-M_alt 'P 1'
_space_group_IT_number 1
_cell_length_a 3.959
_cell_length_b 3.959
_cell_length_c 9.020
_cell_angle_alpha 90.00
_cell_angle_beta 90.00
_cell_angle_gamma 90.00
loop_
_space_group_symop_operation_xyz
'x,y,z'
loop_
_atom_site_label
_atom_site_type_symbol
_atom_site_fract_x
_atom_site_fract_y
_atom_site_fract_z
Gd1 Gd 0.000 0.000 0.246
Gd2 Gd 0.000 0.000 0.754
Au1 Au 0.500 0.500 0.000
Au2 Au 0.500 0.500 0.500
O1 O 0.000 0.000 0.000
O2 O 0.000 0.500 0.355
O3 O 0.000 0.500 0.645
O4 O 0.500 0.000 0.355
O5 O 0.500 0.000 0.645
```

=====

# 2
Starting from a crystal structure in OQMD, relaxed with GGA-PBE, the X-ray powder pattern of Gd2AuO4 was calculated for a wavelength of 1.5418 Å.

Principal peaks in the range 10° ≤ 2θ ≤ 90°, low angle first:
| d_spacing | Rel. int. |
| --- | --- |
| 3.420 | 35.1 |
| 2.916 | 100.0 |
| 2.792 | 20.7 |
| 1.974 | 15.2 |
| 1.861 | 39.6 |
| 1.710 | 38.5 |
| 1.475 | 13.2 |
| 1.458 | 10.3 |
| 1.259 | 22.8 |
| 1.117 | 13.3 |

Atomic structure:
```
data_Gd2AuO4
_space_group_name_H-M_alt 'P 1'
_space_group_IT_number 1
_cell_length_a 6.839
_cell_length_b 6.839
_cell_length_c 6.839
_cell_angle_alpha 60.00
_cell_angle_beta 60.00
_cell_angle_gamma 60.00
loop_
_space_group_symop_operation_xyz
'x,y,z'
loop_
_atom_site_label
_atom_site_type_symbol
_atom_site_fract_x
_atom_site_fract_y
_atom_site_fract_z
Gd1 Gd 0.000 0.000 0.000
Gd2 Gd 0.000 0.000 0.500
Gd3 Gd 0.000 0.500 0.000
Gd4 Gd 0.500 0.000 0.000
Au1 Au 0.375 0.375 0.375
Au2 Au 0.625 0.625 0.625
O1 O 0.210 0.763 0.763
O2 O 0.237 0.237 0.237
O3 O 0.237 0.237 0.790
O4 O 0.237 0.790 0.237
O5 O 0.763 0.210 0.763
O6 O 0.763 0.763 0.210
O7 O 0.763 0.763 0.763
O8 O 0.790 0.237 0.237
```

=====

# 3
Starting from a crystal structure in OQMD, relaxed with GGA-PBE, the X-ray powder pattern of GdAuSO was calculated for a wavelength of 1.5418 Å.

Principal peaks in the range 10° ≤ 2θ ≤ 90°, low angle first:
| d_spacing | Rel. int. |
| --- | --- |
| 4.551 | 78.6 |
| 3.034 | 60.3 |
| 3.000 | 94.7 |
| 2.827 | 95.1 |
| 2.689 | 100.0 |
| 2.394 | 52.2 |
| 2.068 | 52.3 |
| 1.948 | 96.9 |
| 1.770 | 44.5 |
| 1.500 | 42.8 |

Atomic structure:
```
data_GdAuSO
_space_group_name_H-M_alt 'P 1'
_space_group_IT_number 1
_cell_length_a 5.629
_cell_length_b 5.653
_cell_length_c 9.102
_cell_angle_alpha 90.00
_cell_angle_beta 90.00
_cell_angle_gamma 90.00
loop_
_space_group_symop_operation_xyz
'x,y,z'
loop_
_atom_site_label
_atom_site_type_symbol
_atom_site_fract_x
_atom_site_fract_y
_atom_site_fract_z
Gd1 Gd 0.000 0.000 0.000
Gd2 Gd 0.000 0.500 0.247
Gd3 Gd 0.500 0.000 0.247
Gd4 Gd 0.500 0.500 0.000
Au1 Au 0.250 0.012 0.624
Au2 Au 0.250 0.512 0.624
Au3 Au 0.750 0.488 0.624
Au4 Au 0.750 0.988 0.624
S1 S 0.000 0.000 0.408
S2 S 0.000 0.500 0.839
S3 S 0.500 0.000 0.839
S4 S 0.500 0.500 0.408
O1 O 0.249 0.750 0.124
O2 O 0.251 0.250 0.124
O3 O 0.749 0.750 0.124
O4 O 0.751 0.250 0.124
```

=====

# 4
Starting from a crystal structure in OQMD, relaxed with GGA-PBE, the X-ray powder pattern of GdAuSeO was calculated for a wavelength of 1.5418 Å.

Principal peaks in the range 10° ≤ 2θ ≤ 90°, low angle first:
| d_spacing | Rel. int. |
| --- | --- |
| 4.785 | 50.6 |
| 3.190 | 42.1 |
| 3.072 | 97.1 |
| 2.836 | 100.0 |
| 2.714 | 95.6 |
| 2.495 | 61.2 |
| 2.436 | 69.1 |
| 2.119 | 44.5 |
| 1.961 | 79.2 |
| 1.848 | 38.9 |

Atomic structure:
```
data_GdAuSeO
_space_group_name_H-M_alt 'P 1'
_space_group_IT_number 1
_cell_length_a 5.659
_cell_length_b 9.569
_cell_length_c 5.672
_cell_angle_alpha 90.00
_cell_angle_beta 90.00
_cell_angle_gamma 90.00
loop_
_space_group_symop_operation_xyz
'x,y,z'
loop_
_atom_site_label
_atom_site_type_symbol
_atom_site_fract_x
_atom_site_fract_y
_atom_site_fract_z
Gd1 Gd 0.000 0.117 0.250
Gd2 Gd 0.000 0.883 0.750
Gd3 Gd 0.500 0.117 0.750
Gd4 Gd 0.500 0.883 0.250
Au1 Au 0.250 0.500 0.236
Au2 Au 0.250 0.500 0.736
Au3 Au 0.750 0.500 0.264
Au4 Au 0.750 0.500 0.764
Se1 Se 0.000 0.279 0.750
Se2 Se 0.000 0.721 0.250
Se3 Se 0.500 0.279 0.250
Se4 Se 0.500 0.721 0.750
O1 O 0.250 0.000 0.001
O2 O 0.250 0.000 0.501
O3 O 0.750 0.000 0.499
O4 O 0.750 0.000 0.999
```

=====

# 5
Starting from a crystal structure in OQMD, relaxed with GGA-PBE, the X-ray powder pattern of SmGd2AuO6 was calculated for a wavelength of 1.5418 Å.

Principal peaks in the range 10° ≤ 2θ ≤ 90°, low angle first:
| d_spacing | Rel. int. |
| --- | --- |
| 3.047 | 100.0 |
| 2.978 | 74.4 |
| 2.934 | 98.9 |
| 2.889 | 91.8 |
| 2.813 | 58.8 |
| 2.802 | 63.4 |
| 2.221 | 31.7 |
| 1.990 | 48.8 |
| 1.980 | 31.1 |
| 1.627 | 32.4 |

Atomic structure:
```
data_SmGd2AuO6
_space_group_name_H-M_alt 'P 1'
_space_group_IT_number 1
_cell_length_a 3.673
_cell_length_b 5.606
_cell_length_c 7.006
_cell_angle_alpha 90.68
_cell_angle_beta 103.40
_cell_angle_gamma 91.25
loop_
_space_group_symop_operation_xyz
'x,y,z'
loop_
_atom_site_label
_atom_site_type_symbol
_atom_site_fract_x
_atom_site_fract_y
_atom_site_fract_z
Sm1 Sm 0.000 0.000 0.000
Gd1 Gd 0.388 0.471 0.735
Gd2 Gd 0.612 0.529 0.265
Au1 Au 0.000 0.000 0.500
O1 O 0.135 0.788 0.294
O2 O 0.160 0.306 0.384
O3 O 0.482 0.742 0.978
O4 O 0.518 0.258 0.022
O5 O 0.840 0.694 0.616
O6 O 0.865 0.212 0.706
```

=====

# 6
Starting from a crystal structure in OQMD, relaxed with GGA-PBE, the X-ray powder pattern of TbGdAu2O4 was calculated for a wavelength of 1.5418 Å.

Principal peaks in the range 10° ≤ 2θ ≤ 90°, low angle first:
| d_spacing | Rel. int. |
| --- | --- |
| 3.036 | 40.0 |
| 3.007 | 71.5 |
| 2.763 | 100.0 |
| 2.463 | 24.7 |
| 1.913 | 19.7 |
| 1.792 | 34.2 |
| 1.695 | 28.2 |
| 1.543 | 33.6 |
| 1.503 | 16.2 |
| 1.152 | 14.1 |

Atomic structure:
```
data_TbGdAu2O4
_space_group_name_H-M_alt 'P 1'
_space_group_IT_number 1
_cell_length_a 3.583
_cell_length_b 3.583
_cell_length_c 12.143
_cell_angle_alpha 90.00
_cell_angle_beta 90.00
_cell_angle_gamma 120.00
loop_
_space_group_symop_operation_xyz
'x,y,z'
loop_
_atom_site_label
_atom_site_type_symbol
_atom_site_fract_x
_atom_site_fract_y
_atom_site_fract_z
Tb1 Tb 0.000 0.000 0.000
Gd1 Gd 0.000 0.000 0.500
Au1 Au 0.333 0.667 0.249
Au2 Au 0.667 0.333 0.751
O1 O 0.333 0.667 0.082
O2 O 0.333 0.667 0.417
O3 O 0.667 0.333 0.583
O4 O 0.667 0.333 0.918
```

=====

# 7
Starting from a crystal structure in OQMD, relaxed with GGA-PBE, the X-ray powder pattern of Pr3GdAu4 was calculated for a wavelength of 1.5418 Å.

Principal peaks in the range 10° ≤ 2θ ≤ 90°, low angle first:
| d_spacing | Rel. int. |
| --- | --- |
| 2.950 | 100.0 |
| 2.741 | 34.1 |
| 2.712 | 28.0 |
| 2.648 | 79.2 |
| 2.622 | 89.0 |
| 2.408 | 82.4 |
| 2.382 | 77.3 |
| 2.363 | 75.5 |
| 1.474 | 24.6 |
| 1.427 | 31.8 |

Atomic structure:
```
data_Pr3GdAu4
_space_group_name_H-M_alt 'P 1'
_space_group_IT_number 1
_cell_length_a 5.859
_cell_length_b 4.816
_cell_length_c 7.466
_cell_angle_alpha 90.00
_cell_angle_beta 90.88
_cell_angle_gamma 90.00
loop_
_space_group_symop_operation_xyz
'x,y,z'
loop_
_atom_site_label
_atom_site_type_symbol
_atom_site_fract_x
_atom_site_fract_y
_atom_site_fract_z
Pr1 Pr 0.000 0.000 0.000
Pr2 Pr 0.214 0.000 0.497
Pr3 Pr 0.712 0.500 0.628
Gd1 Gd 0.499 0.500 0.130
Au1 Au 0.006 0.500 0.270
Au2 Au 0.211 0.500 0.778
Au3 Au 0.504 0.000 0.865
Au4 Au 0.700 0.000 0.346
```

=====

# 8
Starting from a crystal structure in OQMD, relaxed with GGA-PBE, the X-ray powder pattern of Pr2GdSn4Au4 was calculated for a wavelength of 1.5418 Å.

Principal peaks in the range 10° ≤ 2θ ≤ 90°, low angle first:
| d_spacing | Rel. int. |
| --- | --- |
| 2.877 | 22.9 |
| 2.832 | 100.0 |
| 2.781 | 67.9 |
| 2.609 | 45.0 |
| 2.521 | 38.3 |
| 2.353 | 53.1 |
| 2.201 | 33.2 |
| 2.120 | 43.3 |
| 1.748 | 21.0 |
| 1.607 | 25.0 |

Atomic structure:
```
data_Pr2GdSn4Au4
_space_group_name_H-M_alt 'P 1'
_space_group_IT_number 1
_cell_length_a 8.949
_cell_length_b 8.949
_cell_length_c 8.949
_cell_angle_alpha 149.52
_cell_angle_beta 131.99
_cell_angle_gamma 57.94
loop_
_space_group_symop_operation_xyz
'x,y,z'
loop_
_atom_site_label
_atom_site_type_symbol
_atom_site_fract_x
_atom_site_fract_y
_atom_site_fract_z
Pr1 Pr 0.130 0.130 0.000
Pr2 Pr 0.870 0.870 0.000
Gd1 Gd 0.500 0.000 0.500
Sn1 Sn 0.200 0.500 0.700
Sn2 Sn 0.286 0.786 0.500
Sn3 Sn 0.714 0.214 0.500
Sn4 Sn 0.800 0.500 0.300
Au1 Au 0.131 0.331 0.800
Au2 Au 0.469 0.669 0.800
Au3 Au 0.531 0.331 0.200
Au4 Au 0.869 0.669 0.200
```